For Ac2ZnCu3Pt4, a structure optimized by DFT (PBE) gives the simulated powder X-ray diffraction pattern in this record (Cu Kα (λ = 1.5418 Å)).

Structural model:
```
Ac2ZnCu3Pt4
1.0
4.2168 0.0000 0.0000
0.0000 4.2168 0.0000
0.0000 0.0000 11.0636
Ac Zn Cu Pt
2 1 3 4
direct
0.0000 0.5000 0.2382 Ac
0.5000 0.0000 0.7618 Ac
0.0000 0.0000 0.5000 Zn
0.0000 0.5000 0.8645 Cu
0.5000 0.0000 0.1355 Cu
0.5000 0.5000 0.5000 Cu
0.0000 0.0000 0.0000 Pt
0.0000 0.5000 0.6375 Pt
0.5000 0.0000 0.3625 Pt
0.5000 0.5000 0.0000 Pt
```

Most intense lines, 2θ from 5° to 70°, low angle first:
| 2θ (°) | I/Imax |
| --- | --- |
| 26.58 | 16.3 |
| 32.25 | 53.9 |
| 34.16 | 100.0 |
| 42.89 | 54.9 |
| 46.34 | 31.6 |
| 54.68 | 29.7 |
| 62.28 | 18.2 |
| 64.98 | 23.1 |


For Hf3Ti, a structure optimized by DFT (PBE) gives the simulated powder X-ray diffraction pattern in this record (Cu Kα (λ = 1.5418 Å)).

Structural model:
```
Hf3Ti
1.0
4.3886 0.0000 0.0000
0.0000 4.3886 0.0000
0.0000 0.0000 4.3886
Hf Ti
3 1
direct
0.0000 0.0000 0.5000 Hf
0.0000 0.5000 0.0000 Hf
0.5000 0.0000 0.0000 Hf
0.5000 0.5000 0.5000 Ti
```

Most intense lines, 2θ from 5° to 70°, low angle first:
| 2θ (°) | I/Imax |
| --- | --- |
| 20.23 | 14.6 |
| 28.77 | 12.7 |
| 35.43 | 100.0 |
| 41.14 | 49.7 |
| 46.26 | 7.3 |
| 50.97 | 5.6 |
| 59.58 | 33.4 |
| 63.60 | 3.7 |